Simulated X-ray powder pattern of Sm2Al6Ru for Cu Ka, from a DFT-relaxed cell (GGA-PBE, Alexandria).
Neutral-atom scattering factors, no anomalous dispersion.

Largest 12 diffraction maxima, sorted by position, 15° ≤ 2θ ≤ 90°:
2theta	intensity	(hkl)
15.1	55.6	0 0 1
23.1	73.0	1 0 1
30.4	86.7	1 1 0
34.1	94.1	1 1 1
35.3	100.0	1 0 2
38.6	85.0	0 2 1
49.9	48.9	1 0 3
56.5	35.1	3 0 1
57.2	43.1	2 1 2
63.3	28.0	2 2 0
68.3	30.8	2 1 3
74.6	27.2	1 3 2

Atomic structure:
```
data_Sm2Al6Ru
_chemical_formula_sum 'Sm2 Al6 Ru1'
_symmetry_space_group_name_H-M 'P -3 m 1'
_symmetry_Int_Tables_number 164
_symmetry_space_group_name_Hall '-P 3 2"'
_cell_length_a 5.8763
_cell_length_b 5.8763
_cell_length_c 5.8781
_cell_angle_alpha 90.00
_cell_angle_beta 90.00
_cell_angle_gamma 120.00
loop_
_atom_site_label
_atom_site_type_symbol
_atom_site_fract_x
_atom_site_fract_y
_atom_site_fract_z
_atom_site_occupancy
Sm1 Sm 0.3333 0.6667 0.3508 1
Al1 Al 0.1703 0.3405 0.8165 1
Ru1 Ru 0.0000 0.0000 0.5000 1
```